Diffraction record for NaIn4F12. The PXRD pattern is simulated, not measured: it uses DFT lattice parameters and positions (PBE) and CuKα.

Atomic structure:
Unit cell a=8.176 b=8.368 c=8.371 alpha=90.00 beta=90.00 gamma=90.00
Space group Immm (No. 71)
Asymmetric unit:
Na1 0.000 0.000 0.000 x2
In1 0.250 0.250 0.250 x8
F1 0.000 0.300 0.300 x8
F2 0.186 0.000 0.240 x8
F3 0.187 0.243 0.000 x8

The 6 most intense peaks (2θ from 5° to 70°), by intensity:
2θ (°)  I (rel.)  (hkl)
21.23  100  0 2 0
30.57  56  2 2 0
21.74  41  2 0 0
53.88  27  2 2 4
43.24  26  0 4 0
30.20  23  0 2 2

***

Diffraction record for In5W. The PXRD pattern is simulated, not measured: it uses DFT lattice parameters and positions (PBE) and CuKα.

Atomic structure:
Unit cell a=10.693 b=2.998 c=9.644 alpha=90.00 beta=104.84 gamma=90.00
Space group Cm (No. 8)
Asymmetric unit:
In1 0.000 0.000 0.000 x2
In2 0.081 0.000 0.422 x2
In3 0.203 0.500 0.825 x2
In4 0.296 0.000 0.156 x2
In5 0.414 0.000 0.671 x2
W1 0.313 0.500 0.413 x2

The 6 most intense peaks (2θ from 5° to 70°), by intensity:
2θ (°)  I (rel.)  (hkl)
35.46  100  1 1 -2
33.53  63  4 0 -1
42.70  46  3 1 1
28.90  24  2 0 2
28.73  24  0 0 3
55.86  22  5 1 -3

***

Diffraction record for CsAcPdO4. The PXRD pattern is simulated, not measured: it uses DFT lattice parameters and positions (PBE) and CuKα.

Atomic structure:
Unit cell a=6.326 b=5.750 c=8.376 alpha=90.00 beta=101.18 gamma=90.00
Space group P2_1/m (No. 11)
Asymmetric unit:
Cs1 0.183 0.250 0.118 x2
Ac1 0.218 0.750 0.478 x2
Pd1 0.328 0.250 0.710 x2
O1 0.090 0.023 0.689 x4
O2 0.369 0.750 0.215 x2
O3 0.373 0.250 0.479 x2

The 6 most intense peaks (2θ from 5° to 70°), by intensity:
2θ (°)  I (rel.)  (hkl)
24.97  100  1 1 1
10.77  86  0 0 1
28.25  60  1 1 -2
28.75  53  2 0 0
31.11  51  0 2 0
26.67  40  0 1 2

***

Diffraction record for HfSnPtAu. The PXRD pattern is simulated, not measured: it uses DFT lattice parameters and positions (PBE) and CuKα.

Atomic structure:
Unit cell a=6.753 b=6.753 c=6.753 alpha=90.00 beta=90.00 gamma=90.00
Space group F-43m (No. 216)
Asymmetric unit:
Hf1 0.000 0.000 0.000 x4
Sn1 0.000 0.000 0.500 x4
Pt1 0.250 0.250 0.750 x4
Au1 0.250 0.250 0.250 x4

The 6 most intense peaks (2θ from 5° to 70°), by intensity:
2θ (°)  I (rel.)  (hkl)
37.67  100  2 2 0
68.01  36  4 2 2
54.34  18  4 0 0
26.40  2  2 0 0
22.81  2  1 1 1
61.40  1  4 2 0

***

Diffraction record for NdNi12P6. The PXRD pattern is simulated, not measured: it uses DFT lattice parameters and positions (PBE) and CuKα.

Atomic structure:
Unit cell a=10.1763 b=10.1763 c=8.1016 alpha=90.00 beta=90.00 gamma=120.00
Space group R-3m (No. 166, hexagonal axes)
Asymmetric unit:
Nd1 0.0000 0.0000 0.0000 x3
Ni1 0.0000 0.3718 0.5000 x18
Ni2 0.0921 0.1842 0.3635 x18
P1 0.0423 0.5211 0.2844 x18

The 6 most intense peaks (2θ from 5° to 70°), by intensity:
2θ (°)  I (rel.)  (hkl)
38.47  100  1 3 1
37.71  51  1 1 3
45.63  29  3 0 3
56.98  26  5 0 2
28.98  24  2 1 1
54.07  24  3 3 0